# LiMnP2O7
Simulated powder XRD pattern, CuKα. Input: a cell relaxed with PBE+U.
Intensities are scaled so that the largest is 1000.

Most intense lines, 10° ≤ 2θ ≤ 80°, in order of rising 2θ:
d = 5.861 Å, 15.1 deg, I = 438, (0 1 0); d = 4.310 Å, 20.6 deg, I = 671, (0 0 2); d = 3.808 Å, 23.4 deg, I = 768, (1 1 1); d = 3.645 Å, 24.4 deg, I = 1000, (-1 1 1); d = 3.101 Å, 28.8 deg, I = 757, (0 1 -2); d = 2.498 Å, 36.0 deg, I = 296, (2 0 0)

Structure:
```
data_LiMnP2O7
_cell_length_a 5.0009
_cell_length_b 6.0843
_cell_length_c 8.9448
_cell_angle_alpha 74.55
_cell_angle_beta 88.38
_cell_angle_gamma 87.69
_space_group_name_H-M_alt 'P -1'
_space_group_IT_number 2
loop_
_space_group_symop_operation_xyz
'x,y,z'
'-x,-y,-z'
loop_
_atom_site_label
_atom_site_type_symbol
_atom_site_fract_x
_atom_site_fract_y
_atom_site_fract_z
Li1 Li 0.2086 0.3031 0.0277
Mn1 Mn 0.2541 0.9668 0.7482
P1 P 0.2224 0.2887 0.3651
P2 P 0.2738 0.7459 0.1622
O1 O 0.0675 0.7398 0.6800
O2 O 0.0824 0.9475 0.1672
O3 O 0.2066 0.6420 0.0314
O4 O 0.2437 0.5637 0.3285
O5 O 0.2879 0.1943 0.5325
O6 O 0.4188 0.2174 0.2479
O7 O 0.4320 0.1760 0.8530
```